Starting from a cell relaxed with GGA-PBE, the X-ray powder pattern of Y2Cu12Ni5 was calculated for Cu Kα, 1.54184 Å.
No peak broadening, texture or thermal motion is included.

The 10 most intense peaks (5 to 70 degrees two-theta), low angle first:
- 30.4 deg, I 132, hkl 1 1 2
- 36.7 deg, I 340, hkl 3 0 0
- 41.2 deg, I 434, hkl 2 0 3
- 42.7 deg, I 635, hkl 2 2 0
- 43.1 deg, I 1000, hkl 3 0 2
- 44.3 deg, I 364, hkl 0 0 4
- 48.4 deg, I 592, hkl 2 2 2
- 49.5 deg, I 130, hkl 1 1 4
- 51.0 deg, I 130, hkl 4 0 1
- 63.2 deg, I 136, hkl 2 2 4

Crystal structure
```
data_Y2Cu12Ni5
_chemical_formula_sum 'Y4 Cu24 Ni10'
_symmetry_space_group_name_H-M 'P 63/m m c'
_symmetry_Int_Tables_number 194
_symmetry_space_group_name_Hall '-P 6c 2c'
_cell_length_a 8.4758
_cell_length_b 8.4758
_cell_length_c 8.1862
_cell_angle_alpha 90.00
_cell_angle_beta 90.00
_cell_angle_gamma 120.00
loop_
_atom_site_label
_atom_site_type_symbol
_atom_site_fract_x
_atom_site_fract_y
_atom_site_fract_z
Y1 Y 0.0000 0.0000 0.2500
Y2 Y 0.3333 0.6667 0.2500
Cu1 Cu 0.0432 0.3730 0.7500
Cu2 Cu 0.1666 0.3332 0.0211
Ni1 Ni 0.0000 0.5000 0.0000
Ni2 Ni 0.3333 0.6667 0.6014
```

Starting from a cell relaxed with GGA-PBE, the X-ray powder pattern of Ac2TbTmSe4 was calculated for Cu Kα, 1.54184 Å.
No peak broadening, texture or thermal motion is included.

The 10 most intense peaks (5 to 70 degrees two-theta), low angle first:
- 24.0 deg, I 107, hkl 0 0 2
- 26.2 deg, I 157, hkl 1 1 -1
- 29.7 deg, I 1000, hkl 1 1 1
- 41.1 deg, I 130, hkl 2 0 2
- 41.2 deg, I 259, hkl 1 1 -3
- 43.8 deg, I 238, hkl 3 1 -1
- 43.9 deg, I 118, hkl 0 2 0
- 53.9 deg, I 127, hkl 2 2 -2
- 61.7 deg, I 119, hkl 4 0 -4
- 68.1 deg, I 106, hkl 3 1 -5

Crystal structure
```
data_Ac2TbTmSe4
_chemical_formula_sum 'Ac2 Tb1 Tm1 Se4'
_symmetry_space_group_name_H-M 'P 1 2/m 1'
_symmetry_Int_Tables_number 10
_cell_length_a 7.174
_cell_length_b 4.121
_cell_length_c 7.777
_cell_angle_alpha 90.00
_cell_angle_beta 107.77
_cell_angle_gamma 90.00
loop_
_symmetry_equiv_pos_as_xyz
'x,y,z'
'-x,-y,-z'
'-x,y,-z'
'x,-y,z'
loop_
_atom_site_label
_atom_site_type_symbol
_atom_site_fract_x
_atom_site_fract_y
_atom_site_fract_z
Ac1 Ac 0.000 0.000 0.000
Ac2 Ac 0.500 0.500 0.000
Tb1 Tb 0.000 0.500 0.500
Tm1 Tm 0.500 0.000 0.500
Se1 Se 0.243 0.000 0.718
Se2 Se 0.266 0.500 0.284
```

Starting from a cell relaxed with GGA-PBE, the X-ray powder pattern of Tc5Pt was calculated for Cu Kα, 1.54184 Å.
No peak broadening, texture or thermal motion is included.

The 10 most intense peaks (5 to 70 degrees two-theta), low angle first:
- 7.5 deg, I 163, hkl 0 0 1
- 15.0 deg, I 27, hkl 0 0 2
- 22.6 deg, I 19, hkl 0 0 3
- 33.6 deg, I 34, hkl 1 0 1
- 36.2 deg, I 29, hkl 1 0 2
- 40.1 deg, I 1000, hkl 1 0 3
- 46.2 deg, I 164, hkl 0 0 6
- 46.9 deg, I 320, hkl 1 1 0
- 68.0 deg, I 203, hkl 1 1 6
- 68.5 deg, I 101, hkl 2 0 0

Crystal structure
```
data_Tc5Pt
_chemical_formula_sum 'Tc5 Pt1'
_symmetry_space_group_name_H-M 'P 4/m m m'
_symmetry_Int_Tables_number 123
_symmetry_space_group_name_Hall '-P 4 2'
_cell_length_a 2.738
_cell_length_b 2.738
_cell_length_c 11.791
_cell_angle_alpha 90.00
_cell_angle_beta 90.00
_cell_angle_gamma 90.00
loop_
_atom_site_label
_atom_site_type_symbol
_atom_site_fract_x
_atom_site_fract_y
_atom_site_fract_z
Tc1 Tc 0.000 0.000 0.000
Tc2 Tc 0.000 0.000 0.326
Tc3 Tc 0.500 0.500 0.168
Pt1 Pt 0.500 0.500 0.500
```

Starting from a cell relaxed with GGA-PBE, the X-ray powder pattern of PrCdGaSn was calculated for Cu Kα, 1.54184 Å.
No peak broadening, texture or thermal motion is included.

The 10 most intense peaks (5 to 70 degrees two-theta), low angle first:
- 33.6 deg, I 1000, hkl 1 1 1
- 37.9 deg, I 180, hkl 0 0 2
- 38.7 deg, I 170, hkl 0 2 0
- 40.3 deg, I 151, hkl 2 0 0
- 55.3 deg, I 119, hkl 0 2 2
- 56.6 deg, I 111, hkl 2 0 2
- 57.1 deg, I 108, hkl 2 2 0
- 65.8 deg, I 141, hkl 1 1 3
- 66.8 deg, I 135, hkl 1 3 1
- 69.1 deg, I 122, hkl 3 1 1

Crystal structure
```
data_PrCdGaSn
_chemical_formula_sum 'Pr1 Cd1 Ga1 Sn1'
_symmetry_space_group_name_H-M 'P m m m'
_symmetry_Int_Tables_number 47
_cell_length_a 4.471
_cell_length_b 4.653
_cell_length_c 4.743
_cell_angle_alpha 90.00
_cell_angle_beta 90.00
_cell_angle_gamma 90.00
loop_
_symmetry_equiv_pos_as_xyz
'x,y,z'
'-x,-y,-z'
'-x,-y,z'
'x,y,-z'
'x,-y,-z'
'-x,y,z'
'-x,y,-z'
'x,-y,z'
loop_
_atom_site_label
_atom_site_type_symbol
_atom_site_fract_x
_atom_site_fract_y
_atom_site_fract_z
Pr1 Pr 0.000 0.000 0.000
Cd1 Cd 0.000 0.500 0.500
Ga1 Ga 0.500 0.500 0.000
Sn1 Sn 0.500 0.000 0.500
```